[1]
Diffraction record for Er3HfRh4. The PXRD pattern is simulated, not measured: it uses a structure optimized by DFT (GGA-PBE) and Cu Kα X-rays.

Atomic structure:
```
Er3HfRh4
1.0
3.3200 0.0000 0.0000
0.0000 3.3200 0.0000
0.0000 0.0000 13.8318
Er Hf Rh
3 1 4
direct
0.0000 0.0000 0.0000
0.0000 0.0000 0.2533
0.0000 0.0000 0.7467
0.0000 0.0000 0.5000
0.5000 0.5000 0.1282
0.5000 0.5000 0.3889
0.5000 0.5000 0.6111
0.5000 0.5000 0.8718
```

Largest 12 diffraction maxima, in order of falling intensity, 10° ≤ 2θ ≤ 90°:
hkl 1 0 4, 37.56°, I = 100
hkl 1 1 0, 38.34°, I = 48
hkl 2 1 4, 68.81°, I = 34
hkl 2 0 0, 55.34°, I = 17
hkl 1 1 8, 67.25°, I = 17
hkl 2 0 8, 80.15°, I = 10
hkl 0 0 8, 52.96°, I = 9
hkl 1 0 0, 26.85°, I = 6
hkl 2 2 0, 82.11°, I = 5
hkl 0 0 4, 25.76°, I = 4
hkl 1 1 4, 46.77°, I = 3
hkl 1 0 8, 60.36°, I = 2

[2]
Diffraction record for CoIrRuW. The PXRD pattern is simulated, not measured: it uses a structure optimized by DFT (GGA-PBE) and Cu Kα X-rays.

Atomic structure:
```
CoIrRuW
1.0
3.7539 0.0000 0.0000
0.0000 3.7809 0.0000
0.0000 0.0000 3.8618
Co Ir Ru W
1 1 1 1
direct
0.0000 0.0000 0.0000
0.5000 0.5000 0.0000
0.5000 0.0000 0.5000
0.0000 0.5000 0.5000
```

Largest 12 diffraction maxima, in order of falling intensity, 10° ≤ 2θ ≤ 90°:
hkl 1 1 1, 41.17°, I = 100
hkl 0 0 2, 47.06°, I = 17
hkl 0 2 0, 48.13°, I = 16
hkl 2 0 0, 48.50°, I = 16
hkl 0 1 0, 23.53°, I = 15
hkl 1 1 3, 83.39°, I = 13
hkl 1 0 1, 33.29°, I = 13
hkl 1 3 1, 84.97°, I = 12
hkl 3 1 1, 85.53°, I = 12
hkl 2 2 2, 89.36°, I = 11
hkl 0 2 2, 69.60°, I = 10
hkl 2 0 2, 69.89°, I = 10

[3]
Diffraction record for RbMnV2. The PXRD pattern is simulated, not measured: it uses a structure optimized by DFT (GGA-PBE) and Cu Kα X-rays.

Atomic structure:
```
RbMnV2
1.0
7.1040 0.0000 0.0000
0.0000 7.1040 0.0000
0.0000 0.0000 9.6111
Rb Mn V
4 4 8
direct
0.0000 0.2500 0.3750
0.0000 0.7500 0.6250
0.5000 0.2500 0.1250
0.5000 0.7500 0.8750
0.0000 0.2500 0.8750
0.0000 0.7500 0.1250
0.5000 0.2500 0.6250
0.5000 0.7500 0.3750
0.0000 0.0000 0.0000
0.0000 0.5000 0.0000
0.2500 0.2500 0.7500
0.2500 0.7500 0.2500
0.5000 0.0000 0.5000
0.5000 0.5000 0.5000
0.7500 0.2500 0.7500
0.7500 0.7500 0.2500
```

Largest 12 diffraction maxima, in order of falling intensity, 10° ≤ 2θ ≤ 90°:
hkl 1 1 2, 25.65°, I = 100
hkl 2 0 0, 25.07°, I = 53
hkl 3 1 2, 44.52°, I = 43
hkl 2 2 4, 52.72°, I = 36
hkl 2 1 1, 29.61°, I = 35
hkl 2 0 2, 31.32°, I = 30
hkl 2 0 4, 45.58°, I = 20
hkl 4 0 0, 51.45°, I = 20
hkl 1 0 1, 15.51°, I = 17
hkl 1 0 3, 30.61°, I = 16
hkl 5 1 2, 70.36°, I = 10
hkl 4 2 4, 71.15°, I = 10

What did the first record say?
Diffraction record for Er3HfRh4. The PXRD pattern is simulated, not measured: it uses a structure optimized by DFT (GGA-PBE) and Cu Kα X-rays.

Atomic structure:
```
Er3HfRh4
1.0
3.3200 0.0000 0.0000
0.0000 3.3200 0.0000
0.0000 0.0000 13.8318
Er Hf Rh
3 1 4
direct
0.0000 0.0000 0.0000
0.0000 0.0000 0.2533
0.0000 0.0000 0.7467
0.0000 0.0000 0.5000
0.5000 0.5000 0.1282
0.5000 0.5000 0.3889
0.5000 0.5000 0.6111
0.5000 0.5000 0.8718
```

Largest 12 diffraction maxima, in order of falling intensity, 10° ≤ 2θ ≤ 90°:
hkl 1 0 4, 37.56°, I = 100
hkl 1 1 0, 38.34°, I = 48
hkl 2 1 4, 68.81°, I = 34
hkl 2 0 0, 55.34°, I = 17
hkl 1 1 8, 67.25°, I = 17
hkl 2 0 8, 80.15°, I = 10
hkl 0 0 8, 52.96°, I = 9
hkl 1 0 0, 26.85°, I = 6
hkl 2 2 0, 82.11°, I = 5
hkl 0 0 4, 25.76°, I = 4
hkl 1 1 4, 46.77°, I = 3
hkl 1 0 8, 60.36°, I = 2

Copy entry 3 word for word.
Diffraction record for RbMnV2. The PXRD pattern is simulated, not measured: it uses a structure optimized by DFT (GGA-PBE) and Cu Kα X-rays.

Atomic structure:
```
RbMnV2
1.0
7.1040 0.0000 0.0000
0.0000 7.1040 0.0000
0.0000 0.0000 9.6111
Rb Mn V
4 4 8
direct
0.0000 0.2500 0.3750
0.0000 0.7500 0.6250
0.5000 0.2500 0.1250
0.5000 0.7500 0.8750
0.0000 0.2500 0.8750
0.0000 0.7500 0.1250
0.5000 0.2500 0.6250
0.5000 0.7500 0.3750
0.0000 0.0000 0.0000
0.0000 0.5000 0.0000
0.2500 0.2500 0.7500
0.2500 0.7500 0.2500
0.5000 0.0000 0.5000
0.5000 0.5000 0.5000
0.7500 0.2500 0.7500
0.7500 0.7500 0.2500
```

Largest 12 diffraction maxima, in order of falling intensity, 10° ≤ 2θ ≤ 90°:
hkl 1 1 2, 25.65°, I = 100
hkl 2 0 0, 25.07°, I = 53
hkl 3 1 2, 44.52°, I = 43
hkl 2 2 4, 52.72°, I = 36
hkl 2 1 1, 29.61°, I = 35
hkl 2 0 2, 31.32°, I = 30
hkl 2 0 4, 45.58°, I = 20
hkl 4 0 0, 51.45°, I = 20
hkl 1 0 1, 15.51°, I = 17
hkl 1 0 3, 30.61°, I = 16
hkl 5 1 2, 70.36°, I = 10
hkl 4 2 4, 71.15°, I = 10